1.
Theoretical X-ray diffraction stick pattern
Compound: Dy3Fe8Co
Radiation: Cu Kα
Structure: a GGA-PBE-relaxed structure
Lines closer than 0.1° are merged.

Main lines, sorted by position (15° ≤ 2θ ≤ 90°):
2θ 21.62, I 11.9
2θ 27.29, I 4.4
2θ 32.67, I 4.1
2θ 35.66, I 60.4
2θ 42.09, I 100.0
2θ 44.05, I 17.3
2θ 64.06, I 21.0
2θ 68.47, I 28.7
2θ 75.53, I 21.0
2θ 86.43, I 9.0

Atomic structure:
abc: 8.7239 8.7239 8.7239
angles: 33.54 33.54 33.54
Sites, in units of the cell vectors:
Dy: 0.0000 0.0000 0.0000
Dy: 0.1285 0.1285 0.1285
Dy: 0.6181 0.6181 0.6181
Fe: 0.0592 0.0592 0.5602
Fe: 0.0592 0.5602 0.0592
Fe: 0.0685 0.5625 0.5625
Fe: 0.3117 0.3117 0.3117
Fe: 0.5602 0.0592 0.0592
Fe: 0.5625 0.0685 0.5625
Fe: 0.5625 0.5625 0.0685
Fe: 0.8121 0.8121 0.8121
Co: 0.4968 0.4968 0.4968



2.
Theoretical X-ray diffraction stick pattern
Compound: Cu3Ni4H9
Radiation: Cu Kα
Structure: a GGA-PBE-relaxed structure
Lines closer than 0.1° are merged.

Main lines, sorted by position (15° ≤ 2θ ≤ 90°):
2θ 40.30, I 58.1
2θ 41.20, I 100.0
2θ 44.34, I 30.6
2θ 59.00, I 18.1
2θ 62.11, I 10.7
2θ 74.48, I 16.7
2θ 75.08, I 15.2
2θ 77.28, I 10.4
2θ 87.63, I 18.9
2θ 89.44, I 9.5

Atomic structure:
abc: 6.9424 6.9424 6.9424
angles: 36.80 36.80 36.80
Sites, in units of the cell vectors:
Cu: 0.0000 0.0000 0.0000
Cu: 0.1336 0.1336 0.1336
Cu: 0.5334 0.5334 0.5334
Ni: 0.2712 0.2712 0.2712
Ni: 0.4006 0.4006 0.4006
Ni: 0.7300 0.7300 0.7300
Ni: 0.8619 0.8619 0.8619
H: 0.0203 0.5762 0.4280
H: 0.1105 0.7066 0.5591
H: 0.2158 0.6202 0.9036
H: 0.4280 0.0203 0.5762
H: 0.5591 0.1105 0.7066
H: 0.5762 0.4280 0.0203
H: 0.6202 0.9036 0.2158
H: 0.7066 0.5591 0.1105
H: 0.9036 0.2158 0.6202



3.
Theoretical X-ray diffraction stick pattern
Compound: Na2H2Pd3
Radiation: Cu Kα
Structure: a GGA-PBE-relaxed structure
Lines closer than 0.1° are merged.

Main lines, sorted by position (15° ≤ 2θ ≤ 90°):
2θ 31.63, I 24.3
2θ 35.85, I 100.0
2θ 36.70, I 93.1
2θ 37.59, I 85.0
2θ 37.94, I 82.0
2θ 39.02, I 92.0
2θ 39.92, I 72.1
2θ 49.48, I 40.0
2θ 54.90, I 28.8
2θ 59.17, I 19.3

Atomic structure:
abc: 2.8870 5.0335 7.1500
angles: 70.98 78.58 85.05
Sites, in units of the cell vectors:
Na: 0.0758 0.1991 0.1105
Na: 0.9242 0.8009 0.8895
H: 0.0121 0.7447 0.5433
H: 0.9879 0.2553 0.4567
Pd: 0.3205 0.5932 0.3158
Pd: 0.5000 0.0000 0.5000
Pd: 0.6795 0.4068 0.6842